Diffraction record for V3O5F. The X-ray powder pattern is calculated, not measured: it uses DFT lattice parameters and positions (GGA+U) and Cu Ka.

abc: 6.450 3.058 10.296
angles: 90.00 108.17 90.00
Space group Pm (No. 6)
Symmetry-distinct sites (fractional):
V 0.000 0.000 0.000
V 0.145 0.500 0.324
V 0.310 0.000 0.651
V 0.461 0.500 0.978
V 0.636 0.000 0.306
V 0.822 0.500 0.677
O 0.006 0.000 0.653
O 0.050 0.500 0.132
O 0.244 0.500 0.519
O 0.283 0.000 0.986
O 0.352 0.000 0.324
O 0.375 0.500 0.779
O 0.579 0.500 0.187
O 0.614 0.000 0.652
O 0.911 0.500 0.859
O 0.941 0.000 0.325
F 0.679 0.000 0.986
F 0.709 0.500 0.451

Most intense lines, 2θ from 5° to 70°, in order of rising 2θ:
27.3°, d = 3.261 Å, rel. 91, (0 0 3)
27.7°, d = 3.225 Å, rel. 92, (2 0 -1)
35.3°, d = 2.544 Å, rel. 100, (1 1 -2)
40.4°, d = 2.231 Å, rel. 20, (0 1 3)
40.7°, d = 2.219 Å, rel. 20, (2 1 -1)
53.6°, d = 1.709 Å, rel. 52, (1 1 -5)
54.0°, d = 1.698 Å, rel. 56, (3 1 -3)
60.5°, d = 1.529 Å, rel. 19, (0 2 0)
68.6°, d = 1.368 Å, rel. 18, (3 1 3)
68.7°, d = 1.367 Å, rel. 19, (3 1 -6)